No. 1
KSnAuSe3: theoretical powder X-ray diffraction pattern (copper Kα), based on a cell relaxed with PBE.

Cell and atoms:
```
data_KSnAuSe3
_chemical_formula_sum 'K8 Sn8 Au8 Se24'
_symmetry_space_group_name_H-M 'P 4 c c'
_symmetry_Int_Tables_number 103
_symmetry_space_group_name_Hall 'P 4 -2c'
_cell_length_a 8.5396
_cell_length_b 8.5396
_cell_length_c 20.2819
_cell_angle_alpha 90.00
_cell_angle_beta 90.00
_cell_angle_gamma 90.00
loop_
_atom_site_label
_atom_site_type_symbol
_atom_site_fract_x
_atom_site_fract_y
_atom_site_fract_z
_atom_site_occupancy
K1 K 0.0000 0.0000 0.0000 1
K2 K 0.0000 0.0000 0.2068 1
K3 K 0.5000 0.5000 0.0574 1
K4 K 0.5000 0.5000 0.3429 1
Sn1 Sn 0.0000 0.5000 0.0203 1
Sn2 Sn 0.0000 0.5000 0.1966 1
Au1 Au 0.0074 0.3202 0.3579 1
Se1 Se 0.1539 0.3338 0.1081 1
Se2 Se 0.1778 0.3191 0.7647 1
Se3 Se 0.1881 0.3275 0.4529 1
```

Top 8 peaks for 15° ≤ 2θ ≤ 90°, in order of rising 2θ:
h k l, d/Å, 2θ/deg, I_rel
2 1 2, 3.574, 24.9, 46
2 1 3, 3.325, 26.8, 100
2 1 4, 3.051, 29.3, 56
2 2 2, 2.894, 30.9, 35
3 0 2, 2.741, 32.7, 36
2 0 6, 2.650, 33.8, 89
2 2 4, 2.594, 34.6, 49
0 0 8, 2.533, 35.4, 31

=====

No. 2
K2SnAuSe4: theoretical powder X-ray diffraction pattern (copper Kα), based on a cell relaxed with PBE.

Cell and atoms:
```
data_K2SnAuSe4
_chemical_formula_sum 'K4 Sn2 Au2 Se8'
_symmetry_space_group_name_H-M 'I -4 2 m'
_symmetry_Int_Tables_number 121
_symmetry_space_group_name_Hall 'I -4 2'
_cell_length_a 8.0897
_cell_length_b 8.0897
_cell_length_c 7.2093
_cell_angle_alpha 90.00
_cell_angle_beta 90.00
_cell_angle_gamma 90.00
loop_
_atom_site_label
_atom_site_type_symbol
_atom_site_fract_x
_atom_site_fract_y
_atom_site_fract_z
_atom_site_occupancy
K1 K 0.0000 0.5000 0.0000 1
Sn1 Sn 0.0000 0.0000 0.0000 1
Au1 Au 0.0000 0.0000 0.5000 1
Se1 Se 0.1669 0.1669 0.7608 1
```

Top 8 peaks for 15° ≤ 2θ ≤ 90°, in order of rising 2θ:
h k l, d/Å, 2θ/deg, I_rel
1 1 0, 5.720, 15.5, 97
2 0 0, 4.045, 22.0, 26
2 1 1, 3.234, 27.6, 67
2 2 0, 2.860, 31.3, 44
2 0 2, 2.691, 33.3, 100
3 1 2, 2.086, 43.4, 49
4 2 0, 1.809, 50.5, 22
4 0 2, 1.764, 51.8, 28

=====

No. 3
KSrAuSe2: theoretical powder X-ray diffraction pattern (copper Kα), based on a cell relaxed with PBE.

Cell and atoms:
```
data_KSrAuSe2
_chemical_formula_sum 'K4 Sr4 Au4 Se8'
_symmetry_space_group_name_H-M 'C m m e'
_symmetry_Int_Tables_number 67
_symmetry_space_group_name_Hall '-C 2a 2'
_cell_length_a 8.3946
_cell_length_b 15.8618
_cell_length_c 5.3822
_cell_angle_alpha 90.00
_cell_angle_beta 90.00
_cell_angle_gamma 90.00
loop_
_atom_site_label
_atom_site_type_symbol
_atom_site_fract_x
_atom_site_fract_y
_atom_site_fract_z
_atom_site_occupancy
K1 K 0.0000 0.2500 0.2117 1
Sr1 Sr 0.2500 0.0000 0.5000 1
Au1 Au 0.0000 0.0000 0.0000 1
Se1 Se 0.0000 0.1225 0.7205 1
```

Top 8 peaks for 15° ≤ 2θ ≤ 90°, in order of rising 2θ:
h k l, d/Å, 2θ/deg, I_rel
2 0 0, 4.197, 21.2, 71
1 3 1, 3.440, 25.9, 45
2 0 1, 3.310, 26.9, 58
2 2 1, 3.055, 29.2, 100
0 2 2, 2.548, 35.2, 41
2 4 1, 2.541, 35.3, 85
0 4 2, 2.227, 40.5, 44
2 6 1, 2.066, 43.8, 35

=====

No. 4
K3U3AuSe8: theoretical powder X-ray diffraction pattern (copper Kα), based on a cell relaxed with PBE.

Cell and atoms:
```
data_K3U3AuSe8
_chemical_formula_sum 'K6 U6 Au2 Se16'
_symmetry_space_group_name_H-M 'C 1 2/m 1'
_symmetry_Int_Tables_number 12
_symmetry_space_group_name_Hall '-C 2y'
_cell_length_a 13.7647
_cell_length_b 8.7348
_cell_length_c 8.8097
_cell_angle_alpha 90.00
_cell_angle_beta 118.98
_cell_angle_gamma 90.00
loop_
_atom_site_label
_atom_site_type_symbol
_atom_site_fract_x
_atom_site_fract_y
_atom_site_fract_z
_atom_site_occupancy
K1 K 0.0000 0.0000 0.0000 1
K2 K 0.2500 0.2500 0.0000 1
U1 U 0.0000 0.5000 0.5000 1
U2 U 0.2500 0.2500 0.5000 1
Au1 Au 0.0000 0.0000 0.5000 1
Se1 Se 0.0245 0.2872 0.2810 1
Se2 Se 0.2115 0.0000 0.6827 1
Se3 Se 0.2377 0.5000 0.7087 1
```

Top 8 peaks for 15° ≤ 2θ ≤ 90°, in order of rising 2θ:
h k l, d/Å, 2θ/deg, I_rel
2 2 -1, 3.628, 24.5, 36
2 2 -2, 3.077, 29.0, 100
4 0 0, 3.010, 29.7, 43
4 0 1, 2.433, 36.9, 39
2 2 2, 2.299, 39.2, 34
4 0 -4, 2.168, 41.7, 18
6 2 -2, 2.030, 44.6, 29
2 2 3, 1.843, 49.5, 18

=====

No. 5
K2UAuSe4: theoretical powder X-ray diffraction pattern (copper Kα), based on a cell relaxed with PBE.

Cell and atoms:
```
data_K2UAuSe4
_chemical_formula_sum 'K4 U2 Au2 Se8'
_symmetry_space_group_name_H-M 'I -4'
_symmetry_Int_Tables_number 82
_symmetry_space_group_name_Hall 'I -4'
_cell_length_a 7.8284
_cell_length_b 7.8284
_cell_length_c 8.4319
_cell_angle_alpha 90.00
_cell_angle_beta 90.00
_cell_angle_gamma 90.00
loop_
_atom_site_label
_atom_site_type_symbol
_atom_site_fract_x
_atom_site_fract_y
_atom_site_fract_z
_atom_site_occupancy
K1 K 0.0000 0.0000 0.0000 1
K2 K 0.0000 0.5000 0.2500 1
U1 U 0.0000 0.0000 0.5000 1
Au1 Au 0.0000 0.5000 0.7500 1
Se1 Se 0.1826 0.2365 0.6555 1
```

Top 8 peaks for 15° ≤ 2θ ≤ 90°, in order of rising 2θ:
h k l, d/Å, 2θ/deg, I_rel
1 0 1, 5.737, 15.4, 97
1 1 2, 3.354, 26.6, 100
2 1 1, 3.233, 27.6, 28
2 2 0, 2.768, 32.3, 47
2 1 3, 2.192, 41.2, 20
3 1 2, 2.135, 42.3, 53
3 2 1, 2.103, 43.0, 28
2 0 4, 1.856, 49.1, 28

=====

No. 6
KUAuSe4: theoretical powder X-ray diffraction pattern (copper Kα), based on a cell relaxed with PBE.

Cell and atoms:
```
data_KUAuSe4
_chemical_formula_sum 'K2 U2 Au2 Se8'
_symmetry_space_group_name_H-M 'P 1 21/m 1'
_symmetry_Int_Tables_number 11
_symmetry_space_group_name_Hall '-P 2yb'
_cell_length_a 6.7262
_cell_length_b 6.7739
_cell_length_c 8.7416
_cell_angle_alpha 90.00
_cell_angle_beta 94.75
_cell_angle_gamma 90.00
loop_
_atom_site_label
_atom_site_type_symbol
_atom_site_fract_x
_atom_site_fract_y
_atom_site_fract_z
_atom_site_occupancy
K1 K 0.2282 0.2500 0.0304 1
U1 U 0.1993 0.7500 0.4498 1
Au1 Au 0.3224 0.2500 0.6348 1
Se1 Se 0.0692 0.5220 0.7005 1
Se2 Se 0.3552 0.7500 0.1753 1
Se3 Se 0.4539 0.2500 0.3722 1
```

Top 8 peaks for 15° ≤ 2θ ≤ 90°, in order of rising 2θ:
h k l, d/Å, 2θ/deg, I_rel
0 1 1, 5.348, 16.6, 54
0 2 0, 3.387, 26.3, 50
2 1 1, 2.775, 32.3, 100
0 2 2, 2.672, 33.5, 30
1 1 -3, 2.547, 35.2, 44
2 1 2, 2.391, 37.6, 30
1 0 4, 2.024, 44.8, 42
0 4 0, 1.693, 54.2, 30

=====

No. 7
K2UAuSe5: theoretical powder X-ray diffraction pattern (copper Kα), based on a cell relaxed with PBE.

Cell and atoms:
```
data_K2UAuSe5
_chemical_formula_sum 'K8 U4 Au4 Se20'
_symmetry_space_group_name_H-M 'C m c 21'
_symmetry_Int_Tables_number 36
_symmetry_space_group_name_Hall 'C 2c -2'
_cell_length_a 4.1288
_cell_length_b 19.6834
_cell_length_c 13.6982
_cell_angle_alpha 90.00
_cell_angle_beta 90.00
_cell_angle_gamma 90.00
loop_
_atom_site_label
_atom_site_type_symbol
_atom_site_fract_x
_atom_site_fract_y
_atom_site_fract_z
_atom_site_occupancy
K1 K 0.0000 0.1207 0.0000 1
K2 K 0.0000 0.1218 0.3559 1
U1 U 0.0000 0.1968 0.6780 1
Au1 Au 0.0000 0.4362 0.0858 1
Se1 Se 0.0000 0.0592 0.6995 1
Se2 Se 0.0000 0.2974 0.0429 1
Se3 Se 0.0000 0.3052 0.3105 1
Se4 Se 0.0000 0.3286 0.6795 1
Se5 Se 0.0000 0.5004 0.4312 1
```

Top 8 peaks for 15° ≤ 2θ ≤ 90°, in order of rising 2θ:
h k l, d/Å, 2θ/deg, I_rel
0 2 2, 5.622, 15.8, 37
0 6 1, 3.190, 28.0, 56
1 1 3, 3.026, 29.5, 100
1 5 2, 2.631, 34.1, 29
0 8 2, 2.316, 38.9, 27
1 1 5, 2.268, 39.8, 30
2 0 0, 2.064, 43.9, 27
1 7 4, 1.923, 47.3, 40

=====

No. 8
KYAuSe2: theoretical powder X-ray diffraction pattern (copper Kα), based on a cell relaxed with PBE.

Cell and atoms:
```
data_KYAuSe2
_chemical_formula_sum 'K2 Y2 Au2 Se4'
_symmetry_space_group_name_H-M 'P 1 2/c 1'
_symmetry_Int_Tables_number 13
_symmetry_space_group_name_Hall '-P 2yc'
_cell_length_a 7.6350
_cell_length_b 4.9727
_cell_length_c 7.9601
_cell_angle_alpha 90.00
_cell_angle_beta 98.35
_cell_angle_gamma 90.00
loop_
_atom_site_label
_atom_site_type_symbol
_atom_site_fract_x
_atom_site_fract_y
_atom_site_fract_z
_atom_site_occupancy
K1 K 0.0000 0.1257 0.2500 1
Y1 Y 0.5000 0.4938 0.7500 1
Au1 Au 0.5000 0.0000 0.0000 1
Se1 Se 0.2477 0.3565 0.9670 1
```

Top 8 peaks for 15° ≤ 2θ ≤ 90°, in order of rising 2θ:
h k l, d/Å, 2θ/deg, I_rel
0 0 2, 3.938, 22.6, 43
2 1 0, 3.008, 29.7, 54
1 1 -2, 2.979, 30.0, 75
1 1 2, 2.750, 32.6, 100
2 1 -2, 2.536, 35.4, 77
1 2 0, 2.362, 38.1, 43
2 1 2, 2.267, 39.8, 55
3 1 -2, 2.070, 43.7, 46

=====

No. 9
KSiAu2: theoretical powder X-ray diffraction pattern (copper Kα), based on a cell relaxed with PBE.

Cell and atoms:
```
data_KSiAu2
_chemical_formula_sum 'K4 Si4 Au8'
_symmetry_space_group_name_H-M 'I m m a'
_symmetry_Int_Tables_number 74
_symmetry_space_group_name_Hall '-I 2b 2'
_cell_length_a 4.5569
_cell_length_b 6.6643
_cell_length_c 14.4368
_cell_angle_alpha 90.00
_cell_angle_beta 90.00
_cell_angle_gamma 90.00
loop_
_atom_site_label
_atom_site_type_symbol
_atom_site_fract_x
_atom_site_fract_y
_atom_site_fract_z
_atom_site_occupancy
K1 K 0.0000 0.2500 0.1185 1
Si1 Si 0.0000 0.2500 0.6235 1
Au1 Au 0.0000 0.0000 0.5000 1
Au2 Au 0.0000 0.2500 0.8065 1
```

Top 8 peaks for 15° ≤ 2θ ≤ 90°, in order of rising 2θ:
h k l, d/Å, 2θ/deg, I_rel
1 0 3, 3.309, 26.9, 100
0 2 2, 3.025, 29.5, 67
1 2 1, 2.644, 33.9, 61
1 1 4, 2.604, 34.4, 31
2 0 0, 2.278, 39.6, 28
1 2 5, 1.968, 46.1, 58
2 2 2, 1.820, 50.1, 32
0 4 0, 1.667, 55.1, 21

=====

No. 10
KSiAu3: theoretical powder X-ray diffraction pattern (copper Kα), based on a cell relaxed with PBE.

Cell and atoms:
```
data_KSiAu3
_chemical_formula_sum 'K4 Si4 Au12'
_symmetry_space_group_name_H-M 'A e m 2'
_symmetry_Int_Tables_number 39
_symmetry_space_group_name_Hall 'A 2 -2b'
_cell_length_a 5.1233
_cell_length_b 9.3598
_cell_length_c 9.4997
_cell_angle_alpha 90.00
_cell_angle_beta 90.00
_cell_angle_gamma 90.00
loop_
_atom_site_label
_atom_site_type_symbol
_atom_site_fract_x
_atom_site_fract_y
_atom_site_fract_z
_atom_site_occupancy
K1 K 0.0000 0.0000 0.0000 1
Si1 Si 0.3332 0.2500 0.2742 1
Au1 Au 0.1365 0.2500 0.7612 1
Au2 Au 0.4928 0.2500 0.5187 1
Au3 Au 0.5000 0.0000 0.2296 1
```

Top 8 peaks for 15° ≤ 2θ ≤ 90°, in order of rising 2θ:
h k l, d/Å, 2θ/deg, I_rel
1 0 0, 5.123, 17.3, 21
1 1 1, 4.062, 21.9, 13
1 2 2, 2.794, 32.0, 100
2 0 0, 2.563, 35.0, 15
0 0 4, 2.375, 37.9, 20
0 4 0, 2.340, 38.5, 23
2 2 2, 2.031, 44.6, 21
0 4 4, 1.667, 55.1, 14

=====

No. 11
K2SiAu5: theoretical powder X-ray diffraction pattern (copper Kα), based on a cell relaxed with PBE.

Cell and atoms:
```
data_K2SiAu5
_chemical_formula_sum 'K4 Si2 Au10'
_symmetry_space_group_name_H-M 'I 4 m m'
_symmetry_Int_Tables_number 107
_symmetry_space_group_name_Hall 'I 4 -2'
_cell_length_a 6.1909
_cell_length_b 6.1909
_cell_length_c 10.6627
_cell_angle_alpha 90.00
_cell_angle_beta 90.00
_cell_angle_gamma 90.00
loop_
_atom_site_label
_atom_site_type_symbol
_atom_site_fract_x
_atom_site_fract_y
_atom_site_fract_z
_atom_site_occupancy
K1 K 0.0000 0.5000 0.0000 1
Si1 Si 0.0000 0.0000 0.3361 1
Au1 Au 0.0000 0.0000 0.5677 1
Au2 Au 0.2368 0.2368 0.7543 1
```

Top 8 peaks for 15° ≤ 2θ ≤ 90°, in order of rising 2θ:
h k l, d/Å, 2θ/deg, I_rel
0 0 2, 5.340, 16.6, 70
2 0 2, 2.677, 33.5, 100
0 0 4, 2.666, 33.6, 18
2 2 0, 2.188, 41.3, 38
2 2 2, 2.025, 44.8, 17
2 0 4, 2.019, 44.9, 27
2 2 4, 1.691, 54.2, 19
4 2 2, 1.339, 70.3, 28

=====

No. 12
KSn6Au4: theoretical powder X-ray diffraction pattern (copper Kα), based on a cell relaxed with PBE.

Cell and atoms:
```
data_KSn6Au4
_chemical_formula_sum 'K8 Sn48 Au32'
_symmetry_space_group_name_H-M 'F d d d'
_symmetry_Int_Tables_number 70
_cell_length_a 8.8770
_cell_length_b 10.2729
_cell_length_c 24.6143
_cell_angle_alpha 90.00
_cell_angle_beta 90.00
_cell_angle_gamma 90.00
loop_
_symmetry_equiv_pos_as_xyz
'x,y,z'
'-x,-y,-z'
'-x+1/4,-y+1/4,z'
'x+1/4,y+1/4,-z'
'x,-y+1/4,-z+1/4'
'-x,y+1/4,z+1/4'
'-x+1/4,y,-z+1/4'
'x+1/4,-y,z+1/4'
'x,y+1/2,z+1/2'
'-x,-y+1/2,-z+1/2'
'-x+1/4,-y+3/4,z+1/2'
'x+1/4,y+3/4,-z+1/2'
'x,-y+3/4,-z+3/4'
'-x,y+3/4,z+3/4'
'-x+1/4,y+1/2,-z+3/4'
'x+1/4,-y+1/2,z+3/4'
'x+1/2,y,z+1/2'
'-x+1/2,-y,-z+1/2'
'-x+3/4,-y+1/4,z+1/2'
'x+3/4,y+1/4,-z+1/2'
'x+1/2,-y+1/4,-z+3/4'
'-x+1/2,y+1/4,z+3/4'
'-x+3/4,y,-z+3/4'
'x+3/4,-y,z+3/4'
'x+1/2,y+1/2,z'
'-x+1/2,-y+1/2,-z'
'-x+3/4,-y+3/4,z'
'x+3/4,y+3/4,-z'
'x+1/2,-y+3/4,-z+1/4'
'-x+1/2,y+3/4,z+1/4'
'-x+3/4,y+1/2,-z+1/4'
'x+3/4,-y+1/2,z+1/4'
loop_
_atom_site_label
_atom_site_type_symbol
_atom_site_fract_x
_atom_site_fract_y
_atom_site_fract_z
_atom_site_occupancy
K1 K 0.1250 0.1250 0.1250 1
Sn1 Sn 0.1250 0.2701 0.6250 1
Sn2 Sn 0.1249 0.3740 0.2597 1
Au1 Au 0.1250 0.1250 0.3171 1
Au2 Au 0.1250 0.1250 0.4373 1
```

Top 8 peaks for 15° ≤ 2θ ≤ 90°, in order of rising 2θ:
h k l, d/Å, 2θ/deg, I_rel
0 2 2, 4.740, 18.7, 60
2 0 2, 4.175, 21.3, 19
2 0 6, 3.013, 29.7, 66
2 2 4, 2.948, 30.3, 34
0 4 0, 2.568, 34.9, 28
2 2 8, 2.269, 39.7, 100
4 0 0, 2.219, 40.7, 62
2 4 2, 2.188, 41.3, 39